Diffraction record for TbCrGeO5. The powder XRD pattern is calculated, not measured: it uses a structure optimized by DFT (PBE+U) and Cu Kα.

Principal peaks in the range 15° ≤ 2θ ≤ 90°, sorted by position:
2θ (°)  I (rel.)
15.3  201
28.6  725
30.4  1000
30.8  173
33.8  315
34.8  223
40.8  171
47.0  159
53.4  247
54.5  193
58.8  224
59.0  151

Structure:
Cell lengths 7.4384, 8.5253, 5.8093 Å; angles 90.00, 90.00, 90.00 degrees
Fractional coordinates of all 32 atoms:
Tb 0.1435 0.1738 0.0000
Tb 0.3565 0.6738 0.0000
Tb 0.6435 0.3262 0.0000
Tb 0.8565 0.8262 0.0000
Cr 0.0000 0.5000 0.2509
Cr 0.0000 0.5000 0.7491
Cr 0.5000 0.0000 0.2509
Cr 0.5000 0.0000 0.7491
Ge 0.1150 0.8559 0.5000
Ge 0.3850 0.3559 0.5000
Ge 0.6150 0.6441 0.5000
Ge 0.8850 0.1441 0.5000
O 0.0000 0.0000 0.2881
O 0.0000 0.0000 0.7119
O 0.1068 0.7181 0.2508
O 0.1068 0.7181 0.7492
O 0.1605 0.4230 0.5000
O 0.1696 0.4443 0.0000
O 0.3304 0.9443 0.0000
O 0.3395 0.9230 0.5000
O 0.3932 0.2181 0.2508
O 0.3932 0.2181 0.7492
O 0.5000 0.5000 0.2881
O 0.5000 0.5000 0.7119
O 0.6068 0.7819 0.2508
O 0.6068 0.7819 0.7492
O 0.6605 0.0770 0.5000
O 0.6696 0.0557 0.0000
O 0.8304 0.5557 0.0000
O 0.8395 0.5770 0.5000
O 0.8932 0.2819 0.2508
O 0.8932 0.2819 0.7492